# 1
Diffraction record for LiTlPHO3. The XRD peak list is computed, not measured: it uses a PBE-relaxed structure and a wavelength of 1.5418 Å.

Peak list (6 most intense, 2θ = 5–70°, low angle first)
d (Å), Position (°2θ), I_rel
4.904, 18.09, 100
3.646, 24.41, 92
3.604, 24.70, 50
2.974, 30.05, 54
2.956, 30.24, 75
2.236, 40.34, 46

Crystal structure
abc: 7.665 7.665 5.450
angles: 90.49 90.49 39.77
Element x y z (fractional)
Li 0.250 0.250 0.186
Li 0.750 0.750 0.814
Tl 0.370 0.440 0.748
Tl 0.560 0.630 0.252
P 0.149 0.131 0.688
P 0.869 0.851 0.312
H 0.873 0.024 0.234
H 0.976 0.127 0.766
O 0.083 0.342 0.853
O 0.085 0.210 0.415
O 0.163 0.557 0.274
O 0.443 0.837 0.726
O 0.658 0.917 0.147
O 0.790 0.915 0.585

---

# 2
Diffraction record for LiUPH8O10. The XRD peak list is computed, not measured: it uses a PBE-relaxed structure and a wavelength of 1.5418 Å.

Peak list (6 most intense, 2θ = 5–70°, low angle first)
d (Å), Position (°2θ), I_rel
9.265, 9.55, 100
5.575, 15.90, 40
4.356, 20.39, 32
3.860, 23.04, 62
3.490, 25.52, 39
3.266, 27.30, 41

Crystal structure
abc: 6.981 6.981 9.265
angles: 90.00 90.00 90.00
Element x y z (fractional)
Li 0.250 0.750 0.000
Li 0.750 0.250 0.000
U 0.250 0.250 0.401
U 0.750 0.750 0.599
P 0.250 0.750 0.500
P 0.750 0.250 0.500
H 0.080 0.396 0.880
H 0.080 0.662 0.229
H 0.104 0.080 0.880
H 0.162 0.920 0.771
H 0.338 0.580 0.771
H 0.396 0.420 0.880
H 0.420 0.104 0.880
H 0.420 0.838 0.229
H 0.580 0.162 0.771
H 0.580 0.896 0.120
H 0.604 0.580 0.120
H 0.662 0.420 0.229
H 0.838 0.080 0.229
H 0.896 0.920 0.120
H 0.920 0.338 0.771
H 0.920 0.604 0.120
O 0.032 0.691 0.131
O 0.078 0.797 0.601
O 0.191 0.968 0.869
O 0.203 0.578 0.399
O 0.250 0.250 0.205
O 0.250 0.250 0.597
O 0.297 0.922 0.399
O 0.309 0.532 0.869
O 0.422 0.703 0.601
O 0.468 0.809 0.131
O 0.532 0.191 0.869
O 0.578 0.297 0.399
O 0.691 0.468 0.131
O 0.703 0.078 0.601
O 0.750 0.750 0.403
O 0.750 0.750 0.795
O 0.797 0.422 0.601
O 0.809 0.032 0.131
O 0.922 0.203 0.399
O 0.968 0.309 0.869

---

# 3
Diffraction record for LiZnPH2O5. The XRD peak list is computed, not measured: it uses a PBE-relaxed structure and a wavelength of 1.5418 Å.

Peak list (6 most intense, 2θ = 5–70°, low angle first)
d (Å), Position (°2θ), I_rel
6.514, 13.59, 100
4.505, 19.71, 22
4.305, 20.63, 66
3.295, 27.06, 76
3.050, 29.29, 88
2.533, 35.44, 34

Crystal structure
abc: 10.804 8.165 5.066
angles: 90.00 90.00 90.00
Element x y z (fractional)
Li 0.184 0.187 0.000
Li 0.316 0.687 0.500
Li 0.684 0.313 0.000
Li 0.816 0.813 0.500
Zn 0.127 0.380 0.502
Zn 0.373 0.880 0.002
Zn 0.627 0.120 0.502
Zn 0.873 0.620 0.002
P 0.166 0.590 0.004
P 0.334 0.090 0.504
P 0.666 0.910 0.004
P 0.834 0.410 0.504
H 0.001 0.973 0.368
H 0.046 0.823 0.532
H 0.454 0.323 0.032
H 0.499 0.473 0.868
H 0.501 0.527 0.368
H 0.546 0.677 0.532
H 0.954 0.177 0.032
H 0.999 0.027 0.868
O 0.014 0.088 0.035
O 0.044 0.678 0.067
O 0.167 0.414 0.124
O 0.187 0.575 0.699
O 0.225 0.189 0.625
O 0.275 0.689 0.125
O 0.313 0.075 0.199
O 0.333 0.914 0.624
O 0.456 0.178 0.567
O 0.486 0.588 0.535
O 0.514 0.412 0.035
O 0.544 0.822 0.067
O 0.667 0.086 0.124
O 0.687 0.925 0.699
O 0.725 0.311 0.625
O 0.775 0.811 0.125
O 0.813 0.425 0.199
O 0.833 0.586 0.624
O 0.956 0.322 0.567
O 0.986 0.912 0.535